Calculated X-ray powder pattern
Compound: TlCu2Se2O10
Radiation: Cu Ka
Structure: a crystal structure in Alexandria, relaxed with GGA-PBE
Lines closer than 0.1° are merged.

Cell and atoms:
```
TlCu2Se2O10
1.0
4.860 -3.116 0.000
4.860 3.116 0.000
-4.376 0.000 7.994
Tl Cu Se O
1 2 2 10
Direct
0.000 0.000 0.000 Tl
0.000 0.500 0.500 Cu
0.500 0.000 0.500 Cu
0.443 0.443 0.244 Se
0.557 0.557 0.756 Se
0.180 0.180 0.538 O
0.213 0.666 0.706 O
0.334 0.787 0.294 O
0.336 0.336 0.039 O
0.338 0.338 0.342 O
0.662 0.662 0.658 O
0.664 0.664 0.961 O
0.666 0.213 0.706 O
0.787 0.334 0.294 O
0.820 0.820 0.462 O
```

Most intense lines, 2θ from 5° to 70°, low angle first:
17.98°, rel. 92
18.29°, rel. 42
24.20°, rel. 100
28.06°, rel. 49
29.81°, rel. 31
30.80°, rel. 47
31.37°, rel. 55
32.31°, rel. 44
35.69°, rel. 35
49.52°, rel. 47

Calculated X-ray powder pattern
Compound: Ac2Ga6TcRh
Radiation: Cu Ka
Structure: a crystal structure in Alexandria, relaxed with GGA-PBE
Lines closer than 0.1° are merged.

Cell and atoms:
```
Ac2Ga6TcRh
1.0
-3.402 3.428 4.829
3.402 -3.428 4.829
3.402 3.428 -4.829
Ac Ga Tc Rh
2 6 1 1
Direct
0.232 0.232 0.000 Ac
0.768 0.768 0.000 Ac
0.251 0.751 0.500 Ga
0.269 0.267 0.536 Ga
0.269 0.733 0.001 Ga
0.731 0.267 0.999 Ga
0.731 0.733 0.464 Ga
0.749 0.249 0.500 Ga
0.000 0.500 0.500 Tc
0.500 0.000 0.500 Rh
```

Most intense lines, 2θ from 5° to 70°, low angle first:
25.99°, rel. 19
26.09°, rel. 70
26.20°, rel. 19
32.02°, rel. 38
32.19°, rel. 38
37.24°, rel. 100
45.93°, rel. 24
46.14°, rel. 23
53.68°, rel. 43
64.06°, rel. 14

Calculated X-ray powder pattern
Compound: Al6Ga2Rh
Radiation: Cu Ka
Structure: a crystal structure in Alexandria, relaxed with GGA-PBE
Lines closer than 0.1° are merged.

Cell and atoms:
```
Al6Ga2Rh
1.0
6.985 0.000 0.000
-3.493 6.049 0.000
0.000 0.000 3.539
Al Ga Rh
6 2 1
Direct
0.000 0.263 0.000 Al
0.000 0.626 0.500 Al
0.263 0.000 0.000 Al
0.374 0.374 0.500 Al
0.626 0.000 0.500 Al
0.737 0.737 0.000 Al
0.333 0.667 0.000 Ga
0.667 0.333 0.000 Ga
0.000 0.000 0.500 Rh
```

Most intense lines, 2θ from 5° to 70°, low angle first:
14.64°, rel. 23
25.50°, rel. 97
29.24°, rel. 87
36.13°, rel. 41
39.18°, rel. 100
44.95°, rel. 80
47.33°, rel. 88
51.66°, rel. 23
52.39°, rel. 16
58.48°, rel. 19

Calculated X-ray powder pattern
Compound: CdHgSBr
Radiation: Cu Ka
Structure: a crystal structure in Alexandria, relaxed with GGA-PBE
Lines closer than 0.1° are merged.

Cell and atoms:
```
CdHgSBr
1.0
4.852 -8.682 0.000
4.852 8.682 0.000
0.000 0.000 5.508
Cd Hg S Br
4 4 4 4
Direct
0.100 0.387 0.000 Cd
0.387 0.100 0.000 Cd
0.613 0.900 0.000 Cd
0.900 0.613 0.000 Cd
0.143 0.143 0.500 Hg
0.377 0.623 0.500 Hg
0.623 0.377 0.500 Hg
0.857 0.857 0.500 Hg
0.120 0.390 0.500 S
0.390 0.120 0.500 S
0.610 0.880 0.500 S
0.880 0.610 0.500 S
0.000 0.000 0.000 Br
0.248 0.752 0.000 Br
0.500 0.500 0.000 Br
0.752 0.248 0.000 Br
```

Most intense lines, 2θ from 5° to 70°, low angle first:
10.19°, rel. 22
17.84°, rel. 42
19.08°, rel. 36
24.12°, rel. 51
28.06°, rel. 26
31.83°, rel. 25
32.09°, rel. 100
32.51°, rel. 89
41.61°, rel. 24
53.77°, rel. 22

Calculated X-ray powder pattern
Compound: Tb5NdHg6
Radiation: Cu Ka
Structure: a crystal structure in Alexandria, relaxed with GGA-PBE
Lines closer than 0.1° are merged.

Cell and atoms:
```
Tb5NdHg6
1.0
5.287 0.000 0.000
0.000 7.551 0.000
-2.621 0.000 7.958
Tb Nd Hg
5 1 6
Direct
0.000 0.000 0.000 Tb
0.333 0.500 0.666 Tb
0.336 0.000 0.670 Tb
0.664 0.000 0.330 Tb
0.667 0.500 0.334 Tb
0.000 0.500 0.000 Nd
0.169 0.245 0.340 Hg
0.169 0.755 0.340 Hg
0.500 0.243 0.000 Hg
0.500 0.757 0.000 Hg
0.831 0.245 0.660 Hg
0.831 0.755 0.660 Hg
```

Most intense lines, 2θ from 5° to 70°, low angle first:
33.71°, rel. 100
33.79°, rel. 25
33.91°, rel. 25
48.21°, rel. 9
48.56°, rel. 9
48.70°, rel. 9
60.16°, rel. 9
60.24°, rel. 10
60.39°, rel. 19
60.55°, rel. 19

Calculated X-ray powder pattern
Compound: Ba2PrNbCu2O8
Radiation: Cu Ka
Structure: a crystal structure in Alexandria, relaxed with GGA-PBE
Lines closer than 0.1° are merged.

Cell and atoms:
```
Ba2PrNbCu2O8
1.0
-2.813 2.813 12.341
2.813 -2.813 12.341
2.813 2.813 -12.341
Ba Pr Nb Cu O
4 2 2 4 16
Direct
0.098 0.598 0.500 Ba
0.402 0.902 0.500 Ba
0.598 0.098 0.500 Ba
0.902 0.402 0.500 Ba
0.250 0.750 0.500 Pr
0.750 0.250 0.500 Pr
0.000 0.000 0.000 Nb
0.500 0.500 0.000 Nb
0.180 0.180 0.000 Cu
0.320 0.320 0.000 Cu
0.680 0.680 0.000 Cu
0.820 0.820 0.000 Cu
0.062 0.064 0.500 O
0.064 0.564 0.002 O
0.081 0.081 0.000 O
0.200 0.700 0.900 O
0.300 0.200 0.500 O
0.419 0.419 0.000 O
0.436 0.438 0.500 O
0.438 0.938 0.002 O
0.562 0.062 0.998 O
0.564 0.562 0.500 O
0.581 0.581 0.000 O
0.700 0.800 0.500 O
0.800 0.300 0.100 O
0.919 0.919 0.000 O
0.936 0.436 0.998 O
0.938 0.936 0.500 O
```

Most intense lines, 2θ from 5° to 70°, low angle first:
31.28°, rel. 100
31.81°, rel. 54
36.87°, rel. 14
38.78°, rel. 12
44.02°, rel. 8
45.60°, rel. 33
55.33°, rel. 12
56.34°, rel. 39
65.25°, rel. 9
66.47°, rel. 10

Calculated X-ray powder pattern
Compound: SmHoPt10
Radiation: Cu Ka
Structure: a crystal structure in Alexandria, relaxed with GGA-PBE
Lines closer than 0.1° are merged.

Cell and atoms:
```
SmHoPt10
1.0
4.457 0.000 0.000
0.000 5.384 0.000
0.000 0.000 9.271
Sm Ho Pt
1 1 10
Direct
0.000 0.000 0.000 Sm
0.000 0.500 0.500 Ho
0.000 0.000 0.335 Pt
0.000 0.000 0.665 Pt
0.000 0.500 0.170 Pt
0.000 0.500 0.830 Pt
0.500 0.000 0.500 Pt
0.500 0.251 0.251 Pt
0.500 0.251 0.749 Pt
0.500 0.500 0.000 Pt
0.500 0.749 0.251 Pt
0.500 0.749 0.749 Pt
```

Most intense lines, 2θ from 5° to 70°, low angle first:
19.09°, rel. 44
33.43°, rel. 17
38.68°, rel. 28
39.09°, rel. 51
39.22°, rel. 100
40.48°, rel. 53
43.88°, rel. 51
44.04°, rel. 25
57.23°, rel. 18
63.47°, rel. 25